# Sr3Zn2Ag9
Theoretical XRD peak list, Cu Kα (weighted mean of Kα1 and Kα2). Input: the GGA-PBE geometry in Alexandria.
Peak positions follow from Bragg's law for the DFT cell and can differ from measured ones.

Crystal structure
Unit cell a=4.730 b=10.177 c=13.392 alpha=90.00 beta=90.00 gamma=90.00
Space group Immm (No. 71)
Inequivalent atoms, fractional coordinates:
Sr 0.000 0.000 0.000 [2 per cell]
Sr 0.000 0.000 0.311 [4 per cell]
Zn 0.000 0.225 0.500 [4 per cell]
Ag 0.000 0.277 0.118 [8 per cell]
Ag 0.000 0.358 0.325 [8 per cell]
Ag 0.000 0.500 0.000 [2 per cell]

Top 8 peaks for 15 to 90 degrees two-theta, by angle:
- 3.247 Å, 2θ = 27.47°, I 276
- 2.797 Å, 2θ = 32.00°, I 332
- 2.757 Å, 2θ = 32.48°, I 586
- 2.737 Å, 2θ = 32.72°, I 1000
- 2.548 Å, 2θ = 35.22°, I 443
- 2.365 Å, 2θ = 38.05°, I 762
- 2.331 Å, 2θ = 38.63°, I 467
- 2.119 Å, 2θ = 42.67°, I 384

=====

# Nd3HoPb3
Theoretical XRD peak list, Cu Kα (weighted mean of Kα1 and Kα2). Input: the GGA-PBE geometry in Alexandria.
Peak positions follow from Bragg's law for the DFT cell and can differ from measured ones.

Crystal structure
Unit cell a=8.467 b=10.907 c=9.763 alpha=90.00 beta=90.69 gamma=90.00
Space group C2/m (No. 12)
Inequivalent atoms, fractional coordinates:
Nd 0.000 0.185 0.000 [4 per cell]
Nd 0.000 0.230 0.500 [4 per cell]
Nd 0.075 0.500 0.812 [4 per cell]
Ho 0.212 0.500 0.467 [4 per cell]
Pb 0.038 0.000 0.266 [4 per cell]
Pb 0.239 0.283 0.242 [8 per cell]

Top 8 peaks for 15 to 90 degrees two-theta, by angle:
- 3.178 Å, 2θ = 28.08°, I 139
- 3.158 Å, 2θ = 28.26°, I 243
- 2.771 Å, 2θ = 32.31°, I 1000
- 2.747 Å, 2θ = 32.59°, I 705
- 2.728 Å, 2θ = 32.83°, I 387
- 2.624 Å, 2θ = 34.17°, I 182
- 2.441 Å, 2θ = 36.83°, I 269
- 2.116 Å, 2θ = 42.73°, I 150

=====

# Mg2Zn11
Theoretical XRD peak list, Cu Kα (weighted mean of Kα1 and Kα2). Input: the GGA-PBE geometry in Alexandria.
Peak positions follow from Bragg's law for the DFT cell and can differ from measured ones.

Crystal structure
Unit cell a=8.532 b=8.532 c=8.532 alpha=90.00 beta=90.00 gamma=90.00
Space group Pm-3 (No. 200)
Inequivalent atoms, fractional coordinates:
Mg 0.000 0.302 0.500 [6 per cell]
Zn 0.000 0.000 0.231 [6 per cell]
Zn 0.000 0.500 0.160 [6 per cell]
Zn 0.218 0.218 0.218 [8 per cell]
Zn 0.234 0.500 0.343 [12 per cell]
Zn 0.500 0.500 0.500 [1 per cell]

Top 8 peaks for 15 to 90 degrees two-theta, by angle:
- 3.816 Å, 2θ = 23.31°, I 188
- 2.463 Å, 2θ = 36.48°, I 221
- 2.366 Å, 2θ = 38.03°, I 160
- 2.280 Å, 2θ = 39.52°, I 529
- 2.133 Å, 2θ = 42.38°, I 436
- 2.069 Å, 2θ = 43.75°, I 1000
- 1.384 Å, 2θ = 67.70°, I 167
- 1.219 Å, 2θ = 78.47°, I 157

=====

# Pa2Ge8Rh
Theoretical XRD peak list, Cu Kα (weighted mean of Kα1 and Kα2). Input: the GGA-PBE geometry in Alexandria.
Peak positions follow from Bragg's law for the DFT cell and can differ from measured ones.

Crystal structure
Unit cell a=4.312 b=4.312 c=11.235 alpha=90.00 beta=90.00 gamma=90.00
Space group P4/mmm (No. 123)
Inequivalent atoms, fractional coordinates:
Pa 0.000 0.000 0.184 [2 per cell]
Ge 0.000 0.500 0.000 [2 per cell]
Ge 0.000 0.500 0.374 [4 per cell]
Ge 0.500 0.500 0.188 [2 per cell]
Rh 0.000 0.000 0.500 [1 per cell]

Top 8 peaks for 15 to 90 degrees two-theta, by angle:
- 4.312 Å, 2θ = 20.60°, I 355
- 2.827 Å, 2θ = 31.64°, I 235
- 2.680 Å, 2θ = 33.44°, I 270
- 2.364 Å, 2θ = 38.06°, I 1000
- 2.156 Å, 2θ = 41.90°, I 476
- 1.556 Å, 2θ = 59.41°, I 157
- 1.525 Å, 2θ = 60.75°, I 158
- 1.281 Å, 2θ = 73.98°, I 284

=====

# Li6PmAu6
Theoretical XRD peak list, Cu Kα (weighted mean of Kα1 and Kα2). Input: the GGA-PBE geometry in Alexandria.
Peak positions follow from Bragg's law for the DFT cell and can differ from measured ones.

Crystal structure
Unit cell a=5.306 b=9.065 c=9.235 alpha=90.00 beta=90.00 gamma=90.00
Space group Immm (No. 71)
Inequivalent atoms, fractional coordinates:
Li 0.000 0.237 0.000 [4 per cell]
Li 0.250 0.250 0.250 [8 per cell]
Pm 0.000 0.500 0.500 [2 per cell]
Au 0.000 0.000 0.194 [4 per cell]
Au 0.000 0.165 0.500 [4 per cell]
Au 0.000 0.500 0.158 [4 per cell]

Top 8 peaks for 15 to 90 degrees two-theta, by angle:
- 4.533 Å, 2θ = 19.59°, I 598
- 3.232 Å, 2θ = 27.60°, I 553
- 2.663 Å, 2θ = 33.66°, I 1000
- 2.653 Å, 2θ = 33.78°, I 541
- 2.296 Å, 2θ = 39.24°, I 412
- 2.283 Å, 2θ = 39.48°, I 386
- 1.725 Å, 2θ = 53.09°, I 238
- 1.314 Å, 2θ = 71.87°, I 365

=====

# CaDySe2
Theoretical XRD peak list, Cu Kα (weighted mean of Kα1 and Kα2). Input: the GGA-PBE geometry in Alexandria.
Peak positions follow from Bragg's law for the DFT cell and can differ from measured ones.

Crystal structure
Unit cell a=4.0698 b=4.0698 c=14.0534 alpha=90.00 beta=90.00 gamma=120.00
Space group P6_3/mmc (No. 194)
Inequivalent atoms, fractional coordinates:
Ca 0.3333 0.6667 0.2500 [2 per cell]
Dy 0.0000 0.0000 0.0000 [2 per cell]
Se 0.3333 0.6667 0.6199 [4 per cell]

Top 8 peaks for 15 to 90 degrees two-theta, by angle:
- 3.150 Å, 2θ = 28.33°, I 1000
- 2.816 Å, 2θ = 31.77°, I 495
- 2.488 Å, 2θ = 36.10°, I 806
- 2.035 Å, 2θ = 44.53°, I 609
- 1.952 Å, 2θ = 46.53°, I 459
- 1.575 Å, 2θ = 58.60°, I 200
- 1.330 Å, 2θ = 70.87°, I 290
- 1.246 Å, 2θ = 76.47°, I 185

=====

# RbDyCd2Pb2
Theoretical XRD peak list, Cu Kα (weighted mean of Kα1 and Kα2). Input: the GGA-PBE geometry in Alexandria.
Peak positions follow from Bragg's law for the DFT cell and can differ from measured ones.

Crystal structure
Unit cell a=5.0053 b=5.0053 c=9.3274 alpha=90.00 beta=90.00 gamma=120.00
Space group P-3m1 (No. 164)
Inequivalent atoms, fractional coordinates:
Rb 0.0000 0.0000 0.0000 [1 per cell]
Dy 0.0000 0.0000 0.5000 [1 per cell]
Cd 0.3333 0.6667 0.6401 [2 per cell]
Pb 0.3333 0.6667 0.2731 [2 per cell]

Top 8 peaks for 15 to 90 degrees two-theta, by angle:
- 3.931 Å, 2θ = 22.62°, I 287
- 3.175 Å, 2θ = 28.10°, I 1000
- 2.526 Å, 2θ = 35.53°, I 584
- 2.503 Å, 2θ = 35.88°, I 922
- 1.965 Å, 2θ = 46.19°, I 259
- 1.778 Å, 2θ = 51.39°, I 206
- 1.546 Å, 2θ = 59.83°, I 240
- 1.449 Å, 2θ = 64.26°, I 211

=====

# ZnBPbO4
Theoretical XRD peak list, Cu Kα (weighted mean of Kα1 and Kα2). Input: the GGA-PBE geometry in Alexandria.
Peak positions follow from Bragg's law for the DFT cell and can differ from measured ones.

Crystal structure
Unit cell a=6.064 b=6.877 c=7.803 alpha=90.00 beta=90.00 gamma=90.00
Space group Imma (No. 74)
Inequivalent atoms, fractional coordinates:
Zn 0.250 0.250 0.250 [4 per cell]
B 0.000 0.250 0.620 [4 per cell]
Pb 0.000 0.000 0.000 [4 per cell]
O 0.000 0.067 0.706 [8 per cell]
O 0.216 0.250 0.489 [8 per cell]

Top 8 peaks for 15 to 90 degrees two-theta, by angle:
- 4.788 Å, 2θ = 18.53°, I 1000
- 2.793 Å, 2θ = 32.05°, I 757
- 2.580 Å, 2θ = 34.78°, I 341
- 2.392 Å, 2θ = 37.60°, I 552
- 2.274 Å, 2θ = 39.63°, I 487
- 1.963 Å, 2θ = 46.24°, I 435
- 1.481 Å, 2θ = 62.75°, I 243
- 1.396 Å, 2θ = 67.03°, I 221

=====

# LiSn3Pb
Theoretical XRD peak list, Cu Kα (weighted mean of Kα1 and Kα2). Input: the GGA-PBE geometry in Alexandria.
Peak positions follow from Bragg's law for the DFT cell and can differ from measured ones.

Crystal structure
Unit cell a=8.553 b=3.440 c=9.282 alpha=90.00 beta=106.62 gamma=90.00
Space group P2_1/m (No. 11)
Inequivalent atoms, fractional coordinates:
Li 0.008 0.250 0.256 [2 per cell]
Sn 0.167 0.750 0.068 [2 per cell]
Sn 0.180 0.750 0.520 [2 per cell]
Sn 0.403 0.250 0.345 [2 per cell]
Pb 0.351 0.250 0.845 [2 per cell]

Top 8 peaks for 15 to 90 degrees two-theta, by angle:
- 3.564 Å, 2θ = 24.98°, I 323
- 3.510 Å, 2θ = 25.37°, I 312
- 2.729 Å, 2θ = 32.82°, I 713
- 2.721 Å, 2θ = 32.92°, I 764
- 2.697 Å, 2θ = 33.22°, I 438
- 2.659 Å, 2θ = 33.71°, I 596
- 2.635 Å, 2θ = 34.03°, I 1000
- 2.320 Å, 2θ = 38.81°, I 370

=====

# NdRhO3
Theoretical XRD peak list, Cu Kα (weighted mean of Kα1 and Kα2). Input: the GGA-PBE geometry in Alexandria.
Peak positions follow from Bragg's law for the DFT cell and can differ from measured ones.

Crystal structure
Unit cell a=5.911 b=7.841 c=5.407 alpha=90.00 beta=90.00 gamma=90.00
Space group Pnma (No. 62)
Inequivalent atoms, fractional coordinates:
Nd 0.079 0.250 0.027 [4 per cell]
Rh 0.000 0.000 0.500 [4 per cell]
O 0.038 0.750 0.384 [4 per cell]
O 0.195 0.555 0.817 [8 per cell]

Top 8 peaks for 15 to 90 degrees two-theta, by angle:
- 3.556 Å, 2θ = 25.04°, I 179
- 2.955 Å, 2θ = 30.24°, I 189
- 2.796 Å, 2θ = 32.01°, I 1000
- 2.704 Å, 2θ = 33.13°, I 242
- 1.995 Å, 2θ = 45.47°, I 158
- 1.959 Å, 2θ = 46.34°, I 207
- 1.587 Å, 2θ = 58.14°, I 155
- 1.578 Å, 2θ = 58.48°, I 204

=====

# Mn2N
Theoretical XRD peak list, Cu Kα (weighted mean of Kα1 and Kα2). Input: the GGA-PBE geometry in Alexandria.
Peak positions follow from Bragg's law for the DFT cell and can differ from measured ones.

Crystal structure
Unit cell a=4.395 b=5.560 c=4.831 alpha=90.00 beta=90.00 gamma=90.00
Space group Pbcn (No. 60)
Inequivalent atoms, fractional coordinates:
Mn 0.250 0.121 0.083 [8 per cell]
N 0.000 0.134 0.750 [4 per cell]

Top 8 peaks for 15 to 90 degrees two-theta, by angle:
- 2.411 Å, 2θ = 37.29°, I 147
- 2.198 Å, 2θ = 41.07°, I 198
- 2.114 Å, 2θ = 42.77°, I 1000
- 1.624 Å, 2θ = 56.67°, I 194
- 1.393 Å, 2θ = 67.18°, I 123
- 1.252 Å, 2θ = 76.01°, I 155
- 1.177 Å, 2θ = 81.86°, I 92
- 1.162 Å, 2θ = 83.14°, I 79

=====

# Ca6ZnCd2
Theoretical XRD peak list, Cu Kα (weighted mean of Kα1 and Kα2). Input: the GGA-PBE geometry in Alexandria.
Peak positions follow from Bragg's law for the DFT cell and can differ from measured ones.

Crystal structure
Unit cell a=10.287 b=10.291 c=5.362 alpha=90.00 beta=90.00 gamma=90.00
Space group Pnnm (No. 58)
Inequivalent atoms, fractional coordinates:
Ca 0.031 0.195 0.000 [4 per cell]
Ca 0.118 0.618 0.500 [4 per cell]
Ca 0.195 0.969 0.500 [4 per cell]
Zn 0.000 0.500 0.000 [2 per cell]
Cd 0.206 0.293 0.500 [4 per cell]

Top 8 peaks for 15 to 90 degrees two-theta, by angle:
- 4.316 Å, 2θ = 20.58°, I 291
- 2.889 Å, 2θ = 30.95°, I 1000
- 2.854 Å, 2θ = 31.35°, I 195
- 2.782 Å, 2θ = 32.18°, I 518
- 2.681 Å, 2θ = 33.42°, I 332
- 2.425 Å, 2θ = 37.07°, I 192
- 1.799 Å, 2θ = 50.75°, I 212
- 1.585 Å, 2θ = 58.21°, I 148